For PuCr2PbO8, a structure optimized by DFT (GGA+U) gives the computed powder diffraction line list in this record (a wavelength of 1.5418 Å).
Peak positions follow from Bragg's law for the DFT cell and can differ from measured ones.

Peak list (6 most intense, 15 to 90 degrees two-theta, most intense first)
d = 4.992 Å, rel. 100.0; d = 2.873 Å, rel. 74.5; d = 2.882 Å, rel. 54.0; d = 1.663 Å, rel. 42.2; d = 2.035 Å, rel. 36.0; d = 2.228 Å, rel. 27.9

Cell: 5.7647 5.7647 7.0248 Å, 90.00 90.00 120.00°
Space group P-3m1 (No. 164)
Symmetry-distinct sites (fractional):
Pu 0.0000 0.0000 0.0000 x1
Cr 0.3333 0.6667 0.7198 x2
Pb 0.0000 0.0000 0.5000 x1
O 0.1636 0.3272 0.8043 x6
O 0.3333 0.6667 0.4851 x2